# Dy7Er4Pu
Calculated XRD peak list, copper Kα. Input: DFT lattice parameters and positions (PBE).
Neutral-atom scattering factors, no anomalous dispersion.

Atomic structure:
Unit cell a=5.909 b=8.692 c=8.699 alpha=102.22 beta=108.79 gamma=108.82
Space group P-1 (No. 2)
Asymmetric unit:
Dy 0.000 0.000 0.000 [1 per cell]
Dy 0.138 0.385 0.385 [2 per cell]
Dy 0.173 0.150 0.687 [2 per cell]
Dy 0.175 0.686 0.151 [2 per cell]
Er 0.463 0.591 0.853 [2 per cell]
Er 0.464 0.853 0.591 [2 per cell]
Pu 0.500 0.000 0.000 [1 per cell]

Top 8 peaks for 2θ from 5° to 70°, in order of rising 2θ:
(0 2 1), 3.043 Å, 2θ 29.35, rel. 40
(-2 1 1), 2.953 Å, 2θ 30.27, rel. 43
(1 2 -2), 2.816 Å, 2θ 31.77, rel. 71
(1 1 1), 2.799 Å, 2θ 31.98, rel. 48
(1 -3 1), 2.787 Å, 2θ 32.11, rel. 100
(0 1 -3), 2.743 Å, 2θ 32.64, rel. 86
(-1 2 2), 2.725 Å, 2θ 32.87, rel. 57
(2 0 -3), 2.374 Å, 2θ 37.90, rel. 33

---

# VZnGa3
Calculated XRD peak list, copper Kα. Input: DFT lattice parameters and positions (PBE).
Neutral-atom scattering factors, no anomalous dispersion.

Atomic structure:
Unit cell a=9.808 b=10.171 c=6.554 alpha=90.00 beta=90.10 gamma=90.00
Space group C2/c (No. 15)
Asymmetric unit:
V 0.250 0.030 0.132 [8 per cell]
Zn 0.000 0.087 0.750 [4 per cell]
Zn 0.000 0.410 0.250 [4 per cell]
Ga 0.091 0.368 0.600 [8 per cell]
Ga 0.092 0.134 0.401 [8 per cell]
Ga 0.249 0.203 0.822 [8 per cell]

Top 8 peaks for 2θ from 5° to 70°, in order of rising 2θ:
(3 1 -1), 2.812 Å, 2θ 31.83, rel. 99
(1 3 2), 2.291 Å, 2θ 39.33, rel. 79
(2 4 0), 2.257 Å, 2θ 39.94, rel. 100
(2 4 -1), 2.134 Å, 2θ 42.35, rel. 65
(4 2 1), 2.093 Å, 2θ 43.23, rel. 57
(0 2 3), 2.007 Å, 2θ 45.17, rel. 60
(4 0 2), 1.963 Å, 2θ 46.24, rel. 26
(2 2 -3), 1.858 Å, 2θ 49.03, rel. 23

---

# TbPr2Nd6Mg
Calculated XRD peak list, copper Kα. Input: DFT lattice parameters and positions (PBE).
Neutral-atom scattering factors, no anomalous dispersion.

Atomic structure:
Unit cell a=9.372 b=15.234 c=9.673 alpha=90.00 beta=97.42 gamma=90.00
Space group C2/c (No. 15)
Asymmetric unit:
Tb 0.000 0.019 0.250 [4 per cell]
Pr 0.246 0.451 0.451 [8 per cell]
Nd 0.056 0.183 0.948 [8 per cell]
Nd 0.103 0.395 0.112 [8 per cell]
Nd 0.214 0.215 0.304 [8 per cell]
Mg 0.000 0.410 0.750 [4 per cell]

Top 8 peaks for 2θ from 5° to 70°, in order of rising 2θ:
(2 2 -2), 3.237 Å, 2θ 27.56, rel. 22
(1 3 2), 3.168 Å, 2θ 28.17, rel. 45
(3 1 -1), 3.006 Å, 2θ 29.72, rel. 52
(0 2 3), 2.948 Å, 2θ 30.32, rel. 45
(2 2 2), 2.900 Å, 2θ 30.83, rel. 100
(2 4 -1), 2.883 Å, 2θ 31.02, rel. 34
(1 5 -1), 2.803 Å, 2θ 31.93, rel. 20
(1 3 -3), 2.678 Å, 2θ 33.47, rel. 31

---

# La4Sm2Y3
Calculated XRD peak list, copper Kα. Input: DFT lattice parameters and positions (PBE).
Neutral-atom scattering factors, no anomalous dispersion.

Atomic structure:
Unit cell a=15.511 b=5.205 c=8.162 alpha=90.00 beta=108.54 gamma=90.00
Space group C2/m (No. 12)
Asymmetric unit:
La 0.055 0.000 0.332 [4 per cell]
La 0.222 0.500 0.333 [4 per cell]
Sm 0.167 0.000 0.000 [4 per cell]
Y 0.000 0.500 0.000 [2 per cell]
Y 0.112 0.500 0.670 [4 per cell]

Top 8 peaks for 2θ from 5° to 70°, in order of rising 2θ:
(3 1 1), 2.990 Å, 2θ 29.89, rel. 100
(0 2 0), 2.603 Å, 2θ 34.46, rel. 17
(0 0 3), 2.582 Å, 2θ 34.74, rel. 33
(0 2 3), 1.833 Å, 2θ 49.74, rel. 24
(3 3 1), 1.567 Å, 2θ 58.93, rel. 14
(9 1 0), 1.560 Å, 2θ 59.25, rel. 14
(3 1 4), 1.557 Å, 2θ 59.35, rel. 14
(6 2 2), 1.495 Å, 2θ 62.09, rel. 12